# 1
Starting from DFT lattice parameters and positions (GGA-PBE), the powder X-ray diffraction pattern of SrCu2AgCl8 was calculated for λ = 1.5418 Å (Cu Kα).

The 6 most intense peaks (2θ from 10° to 90°), low angle first:
2θ = 23.09°, rel. 1000; 2θ = 31.81°, rel. 248; 2θ = 37.53°, rel. 313; 2θ = 39.37°, rel. 244; 2θ = 42.86°, rel. 231; 2θ = 46.14°, rel. 480

Atomic structure:
```
SrCu2AgCl8
1.0
-3.2364 3.2364 7.1328
3.2364 -3.2364 7.1328
3.2364 3.2364 -7.1328
Sr Cu Ag Cl
1 2 1 8
Cartesian
0.0000 0.0000 0.0000
0.0000 0.0000 7.1328
0.0000 3.2364 3.5664
3.2364 0.0000 3.5664
1.7542 -0.9772 6.1764
2.2592 1.4822 0.9564
-1.1177 1.4499 2.7212
1.4822 4.2136 -0.9564
1.7865 2.1187 4.4116
0.9772 1.7542 8.0891
1.1177 5.0229 2.7212
-1.7865 4.3541 4.4116
```

# 2
Starting from DFT lattice parameters and positions (GGA-PBE), the powder X-ray diffraction pattern of TlCu3Ag4Cl12 was calculated for λ = 1.5418 Å (Cu Kα).

The 6 most intense peaks (2θ from 10° to 90°), low angle first:
2θ = 25.70°, rel. 1000; 2θ = 28.80°, rel. 241; 2θ = 36.67°, rel. 258; 2θ = 45.32°, rel. 702; 2θ = 59.66°, rel. 239; 2θ = 72.10°, rel. 210

Atomic structure:
```
TlCu3Ag4Cl12
1.0
-4.9013 4.9013 4.9013
4.9013 -4.9013 4.9013
4.9013 4.9013 -4.9013
Tl Cu Ag Cl
1 3 4 12
Cartesian
0.0000 0.0000 0.0000
4.9013 0.0000 0.0000
0.0000 4.9013 0.0000
0.0000 0.0000 4.9013
2.4506 2.4506 -2.4506
2.4506 -2.4506 2.4506
-2.4506 2.4506 2.4506
2.4506 2.4506 2.4506
3.2385 0.0000 1.5949
6.5641 0.0000 1.5949
4.9013 3.3064 -1.6628
1.5949 3.2385 0.0000
3.3064 -1.6628 4.9013
0.0000 1.5949 3.2385
4.9013 3.3064 1.6628
1.5949 6.5641 0.0000
3.3064 1.6628 4.9013
0.0000 1.5949 6.5641
-1.6628 4.9013 3.3064
1.6628 4.9013 3.3064
```

# 3
Starting from DFT lattice parameters and positions (GGA-PBE), the powder X-ray diffraction pattern of Tl4Cu3AgCl12 was calculated for λ = 1.5418 Å (Cu Kα).

The 6 most intense peaks (2θ from 10° to 90°), low angle first:
2θ = 25.49°, rel. 1000; 2θ = 31.35°, rel. 345; 2θ = 36.36°, rel. 502; 2θ = 44.93°, rel. 452; 2θ = 52.37°, rel. 336; 2θ = 71.43°, rel. 233

Atomic structure:
```
Tl4Cu3AgCl12
1.0
-4.9416 4.9416 4.9416
4.9416 -4.9416 4.9416
4.9416 4.9416 -4.9416
Tl Cu Ag Cl
4 3 1 12
Cartesian
2.4708 2.4708 -2.4708
2.4708 -2.4708 2.4708
-2.4708 2.4708 2.4708
2.4708 2.4708 2.4708
4.9416 0.0000 0.0000
0.0000 4.9416 0.0000
0.0000 0.0000 4.9416
0.0000 0.0000 0.0000
2.6100 0.0000 0.0000
7.2732 0.0000 0.0000
4.9416 2.4708 0.0000
4.9416 0.0000 2.4708
0.0000 2.6100 0.0000
0.0000 0.0000 2.6100
2.4708 4.9416 0.0000
2.4708 0.0000 4.9416
0.0000 7.2732 0.0000
0.0000 0.0000 7.2732
0.0000 4.9416 2.4708
0.0000 2.4708 4.9416
```

# 4
Starting from DFT lattice parameters and positions (GGA-PBE), the powder X-ray diffraction pattern of DyAgCl6 was calculated for λ = 1.5418 Å (Cu Kα).

The 6 most intense peaks (2θ from 10° to 90°), low angle first:
2θ = 14.95°, rel. 827; 2θ = 19.99°, rel. 1000; 2θ = 23.36°, rel. 239; 2θ = 24.67°, rel. 414; 2θ = 28.73°, rel. 190; 2θ = 38.35°, rel. 194

Atomic structure:
```
DyAgCl6
1.0
5.8106 0.0000 0.0000
0.0722 6.9700 0.0000
2.2978 3.0181 5.9261
Dy Ag Cl
1 1 6
Cartesian
0.0000 0.0000 0.0000
2.9414 3.4850 0.0000
1.4855 3.2312 3.5160
3.5817 5.1481 4.8480
4.2948 8.4070 4.8466
3.8859 1.5812 1.0795
4.5990 4.8401 1.0781
6.6951 6.7569 2.4101
```